Calculated X-ray diffraction stick pattern of MgCu3Sn4O12 for Cu Kα (λ = 1.5418 Å), from the GGA-PBE geometry in the Materials Project.
Kinematic intensities with the Lorentz-polarization factor, no thermal factor.

Main lines, by angle (2θ from 10° to 80°):
(2 0 0), d 3.857, I 20; (2 2 0), d 2.727, I 100; (4 0 0), d 1.928, I 24; (4 2 2), d 1.575, I 50; (4 4 0), d 1.364, I 13; (6 2 0), d 1.220, I 19

Crystal structure
```
data_MgCu3Sn4O12
_chemical_formula_sum 'Mg2 Cu6 Sn8 O24'
_cell_length_a 7.714
_cell_length_b 7.714
_cell_length_c 7.714
_cell_angle_alpha 90.00
_cell_angle_beta 90.00
_cell_angle_gamma 90.00
_space_group_name_H-M_alt 'I m -3'
_space_group_IT_number 204
_space_group_name_Hall '-I 2 2 3'
loop_
_atom_site_label
_atom_site_fract_x
_atom_site_fract_y
_atom_site_fract_z
Mg1 0.000 0.000 0.000
Cu1 0.000 0.000 0.500
Sn1 0.250 0.250 0.250
O1 0.000 0.306 0.168
```